This entry pairs a crystal structure of Mg3Ag5 with its calculated powder diffraction line list. Radiation: CuKα. Structure: a cell relaxed with PBE.

The 6 most intense peaks (2θ from 10° to 80°), by intensity:
- 37.47°, d 2.400, I = 100
- 40.20°, d 2.243, I = 21
- 41.84°, d 2.159, I = 18
- 28.69°, d 3.111, I = 18
- 71.26°, d 1.323, I = 14
- 23.59°, d 3.771, I = 13

Atomic structure:
Unit cell a=5.733 b=5.733 c=4.487 alpha=90.00 beta=90.00 gamma=97.73
Fractional positions:
1 Mg 0.000 0.000 0.000
2 Mg 0.274 0.726 0.500
3 Mg 0.726 0.274 0.500
4 Ag 0.000 0.500 0.000
5 Ag 0.224 0.224 0.500
6 Ag 0.500 0.000 0.000
7 Ag 0.500 0.500 0.000
8 Ag 0.776 0.776 0.500

---

This entry pairs a crystal structure of Mg4Ag3 with its calculated powder diffraction line list. Radiation: CuKα. Structure: a cell relaxed with PBE.

The 6 most intense peaks (2θ from 10° to 80°), by intensity:
- 37.96°, d 2.370, I = 100
- 37.80°, d 2.380, I = 98
- 26.54°, d 3.359, I = 93
- 54.65°, d 1.679, I = 33
- 68.47°, d 1.370, I = 30
- 46.92°, d 1.937, I = 20

Atomic structure:
Unit cell a=7.498 b=7.498 c=7.498 alpha=113.51 beta=113.51 gamma=113.51
Fractional positions:
1 Mg 0.000 0.000 0.000
2 Mg 0.072 0.773 0.627
3 Mg 0.227 0.373 0.928
4 Mg 0.373 0.928 0.227
5 Mg 0.500 0.500 0.500
6 Mg 0.627 0.072 0.773
7 Mg 0.773 0.627 0.072
8 Mg 0.928 0.227 0.373
9 Ag 0.135 0.551 0.269
10 Ag 0.269 0.135 0.551
11 Ag 0.449 0.731 0.865
12 Ag 0.551 0.269 0.135
13 Ag 0.731 0.865 0.449
14 Ag 0.865 0.449 0.731